No. 1
Calculated powder diffractogram of SrEu2Fe2O7 for Cu Ka, from a PBE+U-relaxed structure.
No peak broadening, texture or thermal motion is included.

Peak list (10 most intense, 2θ = 10–90°, sorted by position)
d [Å], two_theta, intensity, h k l
3.327, 26.8, 23, 1 1 3
2.772, 32.3, 100, 1 1 5
2.713, 33.0, 65, 2 0 0
2.106, 42.9, 24, 2 0 6
2.004, 45.2, 12, 0 0 10
1.919, 47.4, 36, 2 2 0
1.663, 55.2, 12, 2 2 6
1.612, 57.1, 13, 2 0 10
1.578, 58.5, 37, 3 1 5
1.386, 67.6, 12, 2 2 10

Structure:
```
data_SrEu2Fe2O7
_chemical_formula_sum 'Sr4 Eu8 Fe8 O28'
_cell_length_a 5.427
_cell_length_b 5.427
_cell_length_c 20.044
_cell_angle_alpha 90.00
_cell_angle_beta 90.00
_cell_angle_gamma 90.00
_symmetry_space_group_name_H-M 'P 42/m n m'
_symmetry_Int_Tables_number 136
_symmetry_space_group_name_Hall '-P 4n 2n'
loop_
_atom_site_label
_atom_site_type_symbol
_atom_site_fract_x
_atom_site_fract_y
_atom_site_fract_z
Sr1 Sr 0.248 0.248 0.000
Eu1 Eu 0.242 0.242 0.183
Fe1 Fe 0.249 0.249 0.403
O1 O 0.000 0.000 0.094
O2 O 0.000 0.000 0.394
O3 O 0.000 0.500 0.100
O4 O 0.231 0.769 0.200
O5 O 0.237 0.237 0.500
```

***

No. 2
Calculated powder diffractogram of MgCoO2 for Cu Ka, from a PBE+U-relaxed structure.
No peak broadening, texture or thermal motion is included.

Peak list (10 most intense, 2θ = 10–90°, sorted by position)
d [Å], two_theta, intensity, h k l
5.201, 17.0, 78, 0 0 1
2.600, 34.5, 30, 0 0 2
2.539, 35.3, 74, 1 1 0
2.450, 36.7, 79, 1 1 -1
2.432, 37.0, 39, 2 0 0
1.992, 45.5, 100, 1 1 -2
1.972, 46.0, 48, 2 0 1
1.694, 54.2, 26, 2 0 -3
1.680, 54.6, 50, 1 1 2
1.485, 62.6, 43, 3 1 -1

Structure:
```
data_MgCoO2
_chemical_formula_sum 'Mg2 Co2 O4'
_cell_length_a 5.140
_cell_length_b 2.976
_cell_length_c 5.495
_cell_angle_alpha 90.00
_cell_angle_beta 108.84
_cell_angle_gamma 90.00
_symmetry_space_group_name_H-M 'C 1 m 1'
_symmetry_Int_Tables_number 8
_symmetry_space_group_name_Hall 'C -2y'
loop_
_atom_site_label
_atom_site_type_symbol
_atom_site_fract_x
_atom_site_fract_y
_atom_site_fract_z
Mg1 Mg 0.000 0.000 0.000
Co1 Co 0.334 0.500 0.492
O1 O 0.247 0.000 0.741
O2 O 0.419 0.000 0.242
```

***

No. 3
Calculated powder diffractogram of Li4V3CoO10 for Cu Ka, from a PBE+U-relaxed structure.
No peak broadening, texture or thermal motion is included.

Peak list (10 most intense, 2θ = 10–90°, sorted by position)
d [Å], two_theta, intensity, h k l
4.659, 19.1, 75, 0 0 1
3.825, 23.3, 18, 1 1 -1
3.806, 23.4, 17, 1 1 1
3.324, 26.8, 100, 2 2 0
2.713, 33.0, 48, 2 2 -1
2.699, 33.2, 44, 2 2 1
2.351, 38.3, 14, 4 0 0
2.097, 43.1, 13, 0 4 1
1.662, 55.3, 32, 4 4 0
1.654, 55.6, 12, 0 4 2

Structure:
```
data_Li4V3CoO10
_chemical_formula_sum 'Li8 V6 Co2 O20'
_cell_length_a 9.413
_cell_length_b 9.393
_cell_length_c 4.659
_cell_angle_alpha 90.00
_cell_angle_beta 90.43
_cell_angle_gamma 90.00
_symmetry_space_group_name_H-M 'C 1 2 1'
_symmetry_Int_Tables_number 5
_symmetry_space_group_name_Hall 'C 2y'
loop_
_atom_site_label
_atom_site_type_symbol
_atom_site_fract_x
_atom_site_fract_y
_atom_site_fract_z
Li1 Li 0.000 0.000 0.000
Li2 Li 0.000 0.474 0.000
Li3 Li 0.238 0.221 0.966
V1 V 0.000 0.739 0.500
V2 V 0.248 0.492 0.602
Co1 Co 0.000 0.238 0.500
O1 O 0.103 0.636 0.733
O2 O 0.105 0.844 0.281
O3 O 0.114 0.125 0.260
O4 O 0.115 0.353 0.734
O5 O 0.242 0.506 0.241
```